Structure and theoretical powder diffractogram of K4SiSe (a DFT-relaxed cell (PBE, Alexandria); CuKα).
Peak positions follow from Bragg's law for the DFT cell and can differ from measured ones.

a b c (Å): 6.776 6.776 6.776
angles (deg): 60.00 60.00 60.00
Positions (direct):
K: 0.124 0.124 0.124
K: 0.124 0.124 0.629
K: 0.124 0.629 0.124
K: 0.629 0.124 0.124
Si: 0.500 0.500 0.500
Se: 0.750 0.750 0.750

The 10 most intense peaks (10° ≤ 2θ ≤ 90°), in order of falling intensity:
2θ 30.95, intensity 100.0; 2θ 26.31, intensity 34.3; 2θ 32.37, intensity 32.6; 2θ 49.42, intensity 32.5; 2θ 54.15, intensity 25.2; 2θ 76.34, intensity 19.0; 2θ 46.43, intensity 13.9; 2θ 63.68, intensity 10.9; 2θ 64.51, intensity 10.7; 2θ 88.33, intensity 10.2



Structure and theoretical powder diffractogram of Mn2NiPd3 (a DFT-relaxed cell (PBE, Alexandria); CuKα).
Peak positions follow from Bragg's law for the DFT cell and can differ from measured ones.

a b c (Å): 7.844 7.844 5.071
angles (deg): 101.12 101.12 138.31
Positions (direct):
Mn: 0.121 0.369 0.234
Mn: 0.369 0.121 0.734
Mn: 0.631 0.879 0.266
Mn: 0.879 0.631 0.766
Ni: 0.227 0.773 0.250
Ni: 0.773 0.227 0.750
Pd: 0.194 0.304 0.747
Pd: 0.278 0.722 0.750
Pd: 0.304 0.194 0.247
Pd: 0.696 0.806 0.753
Pd: 0.722 0.278 0.250
Pd: 0.806 0.696 0.253

The 10 most intense peaks (10° ≤ 2θ ≤ 90°), in order of falling intensity:
2θ 42.65, intensity 100.0; 2θ 40.36, intensity 66.1; 2θ 40.73, intensity 64.4; 2θ 42.42, intensity 64.1; 2θ 40.63, intensity 57.5; 2θ 60.45, intensity 28.7; 2θ 83.07, intensity 21.5; 2θ 59.92, intensity 18.7; 2θ 67.05, intensity 18.7; 2θ 45.93, intensity 17.2